No. 1
Starting from the GGA-PBE geometry in the Materials Project, the powder diffractogram of Ag3P3HO9 was simulated for Cu Kα X-rays.

Main lines, low angle first (2θ from 10° to 90°):
d [Å]  I/Imax
6.889  36
4.157  77
3.882  32
3.705  39
3.481  81
3.118  57
2.785  100
2.651  54
2.552  88
2.288  51

Structural model:
abc: 11.3883 10.6112 9.3060
angles: 90.00 127.22 90.00
Space group C2/m (No. 12)
Inequivalent atoms, fractional coordinates:
1 Ag 0.0000 0.1761 0.0000 x4
2 Ag 0.1703 0.1464 0.5362 x8
3 P 0.0767 0.3608 0.7634 x8
4 P 0.2091 0.0000 0.9098 x4
5 H 0.1789 0.0000 0.4474 x4
6 O 0.0054 0.5000 0.6929 x4
7 O 0.0470 0.2757 0.2756 x8
8 O 0.0875 0.0000 0.9281 x4
9 O 0.1666 0.3238 0.7020 x8
10 O 0.1676 0.0000 0.7225 x4
11 O 0.1807 0.3816 0.9823 x8


No. 2
Starting from the GGA-PBE geometry in the Materials Project, the powder diffractogram of Sr2YTaO6 was simulated for Cu Kα X-rays.

Main lines, low angle first (2θ from 10° to 90°):
d [Å]  I/Imax
4.819  18
2.962  100
2.928  56
2.120  17
2.071  29
1.717  23
1.697  45
1.481  19
1.123  12
1.114  14

Structural model:
abc: 5.8568 5.8568 8.4788
angles: 90.00 90.00 90.00
Space group I4/m (No. 87)
Inequivalent atoms, fractional coordinates:
1 Sr 0.0000 0.5000 0.2500 x4
2 Y 0.0000 0.0000 0.0000 x2
3 Ta 0.0000 0.0000 0.5000 x2
4 O 0.0000 0.0000 0.2636 x4
5 O 0.1737 0.2957 0.5000 x8


No. 3
Starting from the GGA-PBE geometry in the Materials Project, the powder diffractogram of ScSn3 was simulated for Cu Kα X-rays.

Main lines, low angle first (2θ from 10° to 90°):
d [Å]  I/Imax
4.066  10
2.667  100
2.524  21
2.221  30
1.667  25
1.571  10
1.483  17
1.353  25
1.333  12
1.097  7

Structural model:
abc: 4.4421 4.4421 10.0956
angles: 90.00 90.00 90.00
Space group I4/mmm (No. 139)
Inequivalent atoms, fractional coordinates:
1 Sc 0.0000 0.0000 0.0000 x2
2 Sn 0.0000 0.0000 0.5000 x2
3 Sn 0.0000 0.5000 0.2500 x4


No. 4
Starting from the GGA-PBE geometry in the Materials Project, the powder diffractogram of BaSrI4 was simulated for Cu Kα X-rays.

Main lines, low angle first (2θ from 10° to 90°):
d [Å]  I/Imax
4.780  30
4.118  36
2.935  100
2.889  94
2.059  35
1.695  19
1.686  37
1.660  17
1.308  16
1.296  15

Structural model:
abc: 5.8700 5.8700 28.0915
angles: 90.00 90.00 120.00
Space group R-3m (No. 166, hexagonal axes)
Inequivalent atoms, fractional coordinates:
1 Ba 0.0000 0.0000 0.0000 x3
2 Sr 0.0000 0.0000 0.5000 x3
3 I 0.0000 0.0000 0.1291 x6
4 I 0.0000 0.0000 0.3772 x6


No. 5
Starting from the GGA-PBE geometry in the Materials Project, the powder diffractogram of BaNdZr4O12 was simulated for Cu Kα X-rays.

Main lines, low angle first (2θ from 10° to 90°):
d [Å]  I/Imax
4.813  81
2.954  49
2.944  100
2.518  25
2.504  15
2.089  33
2.074  18
1.704  38
1.697  21
1.472  18

Structural model:
abc: 8.2954 8.3541 8.3585
angles: 90.00 90.00 90.00
Space group Amm2 (No. 38)
Inequivalent atoms, fractional coordinates:
1 Ba 0.0000 0.0000 0.0000 x2
2 Nd 0.5000 0.0000 0.5589 x2
3 Zr 0.2539 0.2364 0.2781 x8
4 O 0.0000 0.2257 0.2711 x4
5 O 0.2427 0.0000 0.7515 x4
6 O 0.2526 0.2230 0.0259 x8
7 O 0.3117 0.0000 0.3271 x4
8 O 0.5000 0.2053 0.7479 x4


No. 6
Starting from the GGA-PBE geometry in the Materials Project, the powder diffractogram of Er3Fe2Si3 was simulated for Cu Kα X-rays.

Main lines, low angle first (2θ from 10° to 90°):
d [Å]  I/Imax
3.644  34
3.407  48
3.300  23
2.595  75
2.517  100
2.395  25
2.279  39
2.259  21
2.031  35
1.549  32

Structural model:
abc: 4.0612 10.4541 13.4750
angles: 90.00 90.00 90.00
Space group Cmcm (No. 63)
Inequivalent atoms, fractional coordinates:
1 Er 0.0000 0.0788 0.1126 x8
2 Er 0.0000 0.3621 0.2500 x4
3 Fe 0.0000 0.2143 0.5805 x8
4 Si 0.0000 0.3273 0.7500 x4
5 Si 0.0000 0.3758 0.0393 x8


No. 7
Starting from the GGA-PBE geometry in the Materials Project, the powder diffractogram of CuTeSe was simulated for Cu Kα X-rays.

Main lines, low angle first (2θ from 10° to 90°):
d [Å]  I/Imax
3.200  24
2.862  100
2.613  79
1.930  57
1.775  30
1.711  45
1.397  21
1.232  19
1.189  21
1.131  18

Structural model:
abc: 6.4003 6.4003 6.4003
angles: 90.00 90.00 90.00
Space group P2_13 (No. 198)
Inequivalent atoms, fractional coordinates:
1 Cu 0.0102 0.0102 0.0102 x4
2 Te 0.1201 0.6201 0.8799 x4
3 Se 0.1164 0.8836 0.3836 x4


No. 8
Starting from the GGA-PBE geometry in the Materials Project, the powder diffractogram of CeMg6Bi was simulated for Cu Kα X-rays.

Main lines, low angle first (2θ from 10° to 90°):
d [Å]  I/Imax
6.019  83
5.344  68
3.996  73
3.010  24
2.840  46
2.759  27
2.672  37
2.622  60
2.508  100
1.946  31

Structural model:
abc: 5.3441 6.4431 12.0385
angles: 90.00 90.00 90.00
Space group Amm2 (No. 38)
Inequivalent atoms, fractional coordinates:
1 Ce 0.0000 0.0000 0.0000 x2
2 Mg 0.0000 0.2472 0.2478 x4
3 Mg 0.5000 0.0000 0.1652 x2
4 Mg 0.5000 0.0000 0.6661 x2
5 Mg 0.5000 0.2463 0.9023 x4
6 Bi 0.0000 0.0000 0.4962 x2